Record 1
The following is a computed powder XRD pattern of Li5MnCr3O8. It was derived from DFT lattice parameters and positions (PBE+U), using copper Kα.
Lines closer than 0.1° are merged.

```
Li5MnCr3O8
1.0
6.013 0.000 0.000
-3.006 5.207 0.000
0.000 0.000 9.941
Li Mn Cr O
10 2 6 16
Cartesian
0.000 0.000 0.000
0.000 0.000 4.971
0.000 2.023 4.188
-1.254 4.196 4.188
0.000 3.472 2.075
1.752 1.012 9.159
1.254 4.196 4.188
3.006 1.736 7.045
4.261 1.012 9.159
3.006 3.184 9.159
0.000 3.472 9.541
3.006 1.736 4.570
0.000 1.776 6.947
-1.468 4.319 6.947
1.538 0.888 1.977
1.468 4.319 6.947
4.475 0.888 1.977
3.006 3.431 1.977
0.000 0.000 3.082
0.000 0.000 8.052
-1.442 2.639 8.089
0.000 1.673 0.844
-1.557 4.371 0.844
1.449 0.837 5.815
0.000 3.472 5.808
1.442 2.639 8.089
0.000 5.137 8.089
3.006 0.071 3.119
1.564 2.568 3.119
3.006 1.736 0.837
1.557 4.371 0.844
4.564 0.837 5.815
3.006 3.534 5.815
4.449 2.568 3.119
```

Principal peaks in the range 10° ≤ 2θ ≤ 80°, sorted by position:
| 2θ (°) | I (rel.) | hkl |
| --- | --- | --- |
| 17.8 | 62 | 0 0 2 |
| 19.2 | 91 | 1 0 1 |
| 24.8 | 27 | 1 0 2 |
| 32.0 | 32 | 1 0 3 |
| 34.4 | 17 | 2 0 0 |
| 34.9 | 57 | 1 1 2 |
| 35.6 | 53 | 2 0 1 |
| 39.1 | 42 | 2 0 2 |
| 44.2 | 100 | 2 0 3 |
| 50.8 | 34 | 2 0 4 |
| 58.4 | 46 | 2 0 5 |
| 61.7 | 51 | 2 2 0 |

Record 2
The following is a computed powder XRD pattern of LiMn2Cr2O8. It was derived from DFT lattice parameters and positions (PBE+U), using copper Kα.
Lines closer than 0.1° are merged.

```
LiMn2Cr2O8
1.0
5.781 0.000 0.000
2.841 5.082 0.000
2.793 1.712 4.876
Li Mn Cr O
1 2 2 8
Cartesian
0.000 0.000 0.000
2.817 3.397 2.438
5.707 3.397 2.438
4.287 0.856 2.438
4.311 2.541 0.000
4.247 4.055 1.313
3.022 1.797 1.363
4.247 2.566 3.459
5.823 5.012 3.531
5.592 1.782 1.345
7.168 4.228 1.417
8.393 4.998 3.513
7.168 2.739 3.563
```

Principal peaks in the range 10° ≤ 2θ ≤ 80°, sorted by position:
| 2θ (°) | I (rel.) | hkl |
| --- | --- | --- |
| 18.2 | 62 | 0 0 1 |
| 18.5 | 100 | 0 1 0 |
| 18.8 | 58 | 1 1 1 |
| 35.3 | 12 | 1 1 -1 |
| 35.9 | 25 | 1 -1 1 |
| 36.4 | 12 | 2 1 2 |
| 43.3 | 40 | 0 2 2 |
| 43.6 | 39 | 2 2 0 |
| 43.9 | 38 | 2 0 2 |
| 57.7 | 12 | 2 0 3 |
| 62.2 | 11 | 2 0 -2 |
| 63.4 | 20 | 2 -2 0 |

Record 3
The following is a computed powder XRD pattern of Li2Mn3CrO8. It was derived from DFT lattice parameters and positions (PBE+U), using copper Kα.
Lines closer than 0.1° are merged.

```
Li2Mn3CrO8
1.0
8.307 0.000 0.000
0.000 8.307 0.000
0.000 0.000 8.502
Li Mn Cr O
8 12 4 32
Cartesian
0.008 2.058 3.207
2.058 0.008 5.295
2.096 4.161 1.081
4.145 6.211 3.170
4.161 2.096 7.421
6.211 4.145 5.332
6.249 8.299 1.044
8.299 6.249 7.458
1.023 3.131 6.353
1.023 5.176 4.227
1.057 1.057 0.000
3.096 5.210 6.376
3.131 1.023 2.149
3.131 7.284 0.024
5.176 1.023 4.275
5.176 7.284 6.400
5.210 3.096 2.125
7.250 7.250 4.251
7.284 3.131 8.478
7.284 5.176 2.102
1.050 7.256 2.125
3.103 3.103 4.251
5.204 5.204 0.000
7.256 1.050 6.376
0.908 5.228 2.276
0.904 7.112 4.143
0.933 1.231 6.350
0.941 3.038 8.333
1.075 3.245 4.401
1.115 5.094 6.207
1.194 7.403 0.108
1.231 0.933 2.152
2.923 5.087 4.224
2.959 3.249 6.268
3.038 0.941 0.169
3.079 7.399 1.975
3.212 7.191 6.545
3.220 5.384 0.027
3.245 1.075 4.100
3.249 2.959 2.234
5.057 5.348 6.485
5.062 7.232 8.351
5.087 2.923 4.277
5.094 1.115 2.295
5.228 0.908 6.226
5.269 7.366 4.420
5.348 5.057 2.017
5.384 3.220 8.475
7.076 7.373 6.403
7.112 0.904 4.359
7.191 3.212 1.956
7.232 5.062 0.151
7.366 5.269 4.082
7.373 7.076 2.099
7.403 1.194 8.393
7.399 3.079 6.527
```

Principal peaks in the range 10° ≤ 2θ ≤ 80°, sorted by position:
| 2θ (°) | I (rel.) | hkl |
| --- | --- | --- |
| 18.4 | 100 | 1 1 1 |
| 35.2 | 17 | 1 1 3 |
| 35.8 | 30 | 3 1 1 |
| 37.2 | 10 | 2 2 2 |
| 42.5 | 19 | 0 0 4 |
| 43.6 | 36 | 4 0 0 |
| 47.2 | 7 | 3 1 3 |
| 56.3 | 6 | 1 1 5 |
| 57.6 | 12 | 5 1 1 |
| 62.5 | 22 | 4 0 4 |
| 63.3 | 10 | 4 4 0 |
| 79.3 | 8 | 4 4 4 |

Which formula does entry 2 have? LiMn2Cr2O8